1.
Calculated powder diffractogram
Compound: Gd5Pb
Radiation: Cu Kα (λ = 1.5418 Å)
Structure: the PBE geometry in Alexandria
Intensities are scaled so that the largest is 100.

Crystal structure
```
Gd5Pb
1.0
2.8779 -5.6448 0.0000
2.8779 5.6448 0.0000
0.0000 0.0000 5.7300
Gd Pb
5 1
Direct
0.0000 0.0000 0.0000 Gd
0.1596 0.8404 0.5000 Gd
0.3384 0.6616 0.0000 Gd
0.6616 0.3384 0.0000 Gd
0.8404 0.1596 0.5000 Gd
0.5000 0.5000 0.5000 Pb
```

Top 12 peaks for 5° ≤ 2θ ≤ 70°, by angle:
2θ = 15.70°, I = 1
2θ = 31.08°, I = 28
2θ = 31.22°, I = 28
2θ = 32.44°, I = 100
2θ = 44.63°, I = 21
2θ = 48.37°, I = 8
2θ = 56.15°, I = 21
2θ = 56.33°, I = 21
2θ = 58.66°, I = 18
2θ = 64.79°, I = 3
2θ = 65.12°, I = 3
2θ = 67.92°, I = 12


2.
Calculated powder diffractogram
Compound: Y4Ho5In2
Radiation: Cu Kα (λ = 1.5418 Å)
Structure: the PBE geometry in Alexandria
Intensities are scaled so that the largest is 100.

Crystal structure
```
Y4Ho5In2
1.0
2.5994 1.5008 15.6081
-2.5994 1.5008 15.6081
0.0000 -3.0015 15.6081
Y Ho In
4 5 2
Direct
0.0726 0.0726 0.0726 Y
0.2258 0.2258 0.2258 Y
0.7742 0.7742 0.7742 Y
0.9274 0.9274 0.9274 Y
0.0000 0.0000 0.0000 Ho
0.1482 0.1482 0.1482 Ho
0.3025 0.3025 0.3025 Ho
0.6975 0.6975 0.6975 Ho
0.8518 0.8518 0.8518 Ho
0.3798 0.3798 0.3798 In
0.6202 0.6202 0.6202 In
```

Top 12 peaks for 5° ≤ 2θ ≤ 70°, by angle:
2θ = 5.66°, I = 51
2θ = 11.34°, I = 10
2θ = 19.81°, I = 14
2θ = 20.08°, I = 10
2θ = 31.82°, I = 100
2θ = 33.37°, I = 23
2θ = 34.50°, I = 94
2θ = 47.64°, I = 32
2θ = 54.91°, I = 12
2θ = 60.14°, I = 32
2θ = 61.82°, I = 17
2θ = 64.61°, I = 15


3.
Calculated powder diffractogram
Compound: Ca2PdAu7
Radiation: Cu Kα (λ = 1.5418 Å)
Structure: the PBE geometry in Alexandria
Intensities are scaled so that the largest is 100.

Crystal structure
```
Ca2PdAu7
1.0
0.0000 5.1182 5.1182
5.1182 0.0000 5.1182
5.1182 5.1182 0.0000
Ca Pd Au
2 1 7
Direct
0.2500 0.2500 0.2500 Ca
0.7500 0.7500 0.7500 Ca
0.0000 0.0000 0.0000 Pd
0.2473 0.2473 0.7527 Au
0.2473 0.7527 0.2473 Au
0.2473 0.7527 0.7527 Au
0.5000 0.5000 0.5000 Au
0.7527 0.2473 0.2473 Au
0.7527 0.2473 0.7527 Au
0.7527 0.7527 0.2473 Au
```

Top 12 peaks for 5° ≤ 2θ ≤ 70°, by angle:
2θ = 14.99°, I = 2
2θ = 17.33°, I = 83
2θ = 28.93°, I = 2
2θ = 30.25°, I = 73
2θ = 35.07°, I = 100
2θ = 38.33°, I = 2
2θ = 39.36°, I = 45
2θ = 50.43°, I = 72
2θ = 53.73°, I = 23
2θ = 59.94°, I = 32
2θ = 62.90°, I = 25
2θ = 65.79°, I = 10


4.
Calculated powder diffractogram
Compound: CuHg2Se2Cl2
Radiation: Cu Kα (λ = 1.5418 Å)
Structure: the PBE geometry in Alexandria
Intensities are scaled so that the largest is 100.

Crystal structure
```
CuHg2Se2Cl2
1.0
4.2528 0.0000 0.0000
-0.6615 6.2960 0.0000
-0.4415 -0.5127 7.6197
Cu Hg Se Cl
1 2 2 2
Direct
0.0000 0.0000 0.0000 Cu
0.3123 0.7278 0.3362 Hg
0.6877 0.2722 0.6638 Hg
0.1423 0.3188 0.8922 Se
0.8577 0.6812 0.1078 Se
0.3436 0.2312 0.3958 Cl
0.6564 0.7688 0.6042 Cl
```

Top 12 peaks for 5° ≤ 2θ ≤ 70°, by angle:
2θ = 17.69°, I = 78
2θ = 18.90°, I = 100
2θ = 23.43°, I = 100
2θ = 26.67°, I = 24
2θ = 27.01°, I = 23
2θ = 28.42°, I = 51
2θ = 30.06°, I = 44
2θ = 32.66°, I = 65
2θ = 33.50°, I = 40
2θ = 35.92°, I = 31
2θ = 42.75°, I = 29
2θ = 51.06°, I = 30


5.
Calculated powder diffractogram
Compound: Pr2SmDyEr2
Radiation: Cu Kα (λ = 1.5418 Å)
Structure: the PBE geometry in Alexandria
Intensities are scaled so that the largest is 100.

Crystal structure
```
Pr2SmDyEr2
1.0
5.6989 0.0000 0.0000
0.0000 9.8862 0.0000
0.0000 0.0000 7.0277
Pr Sm Dy Er
4 2 2 4
Direct
0.0000 0.9999 0.0000 Pr
0.0000 0.0001 0.5000 Pr
0.5000 0.1714 0.2500 Pr
0.5000 0.8286 0.7500 Pr
0.5000 0.4999 0.4993 Sm
0.5000 0.5001 0.9993 Sm
0.0000 0.3368 0.7492 Dy
0.0000 0.6632 0.2492 Dy
0.0000 0.3339 0.2490 Er
0.0000 0.6661 0.7490 Er
0.5000 0.1659 0.7502 Er
0.5000 0.8341 0.2502 Er
```

Top 11 peaks for 5° ≤ 2θ ≤ 70°, by angle:
2θ = 25.35°, I = 8
2θ = 31.24°, I = 88
2θ = 31.37°, I = 100
2θ = 40.75°, I = 13
2θ = 44.86°, I = 32
2θ = 52.05°, I = 8
2θ = 55.76°, I = 41
2θ = 55.86°, I = 13
2θ = 62.05°, I = 29
2θ = 62.27°, I = 4
2θ = 65.46°, I = 12


6.
Calculated powder diffractogram
Compound: Sr2ZnTe3
Radiation: Cu Kα (λ = 1.5418 Å)
Structure: the PBE geometry in Alexandria
Intensities are scaled so that the largest is 100.

Crystal structure
```
Sr2ZnTe3
1.0
9.5937 0.0000 0.0000
0.0000 4.5328 0.0000
0.0000 0.0000 18.4898
Sr Zn Te
8 4 12
Direct
0.0756 0.2500 0.2139 Sr
0.2461 0.7500 0.4624 Sr
0.2539 0.2500 0.9624 Sr
0.4244 0.7500 0.7139 Sr
0.5756 0.2500 0.2861 Sr
0.7461 0.7500 0.0376 Sr
0.7539 0.2500 0.5376 Sr
0.9244 0.7500 0.7861 Sr
0.1365 0.2500 0.6368 Zn
0.3635 0.7500 0.1368 Zn
0.6365 0.2500 0.8632 Zn
0.8635 0.7500 0.3632 Zn
0.0061 0.2500 0.4005 Te
0.1180 0.7500 0.0702 Te
0.1893 0.2500 0.7787 Te
0.3107 0.7500 0.2787 Te
0.3820 0.2500 0.5702 Te
0.4939 0.7500 0.9005 Te
0.5061 0.2500 0.0995 Te
0.6180 0.7500 0.4298 Te
0.6893 0.2500 0.7213 Te
0.8107 0.7500 0.2213 Te
0.8820 0.2500 0.9298 Te
0.9939 0.7500 0.5995 Te
```

Top 12 peaks for 5° ≤ 2θ ≤ 70°, by angle:
2θ = 23.75°, I = 40
2θ = 25.82°, I = 41
2θ = 26.78°, I = 31
2θ = 27.50°, I = 100
2θ = 28.77°, I = 89
2θ = 29.12°, I = 67
2θ = 29.56°, I = 29
2θ = 30.49°, I = 32
2θ = 32.61°, I = 65
2θ = 34.66°, I = 45
2θ = 39.77°, I = 65
2θ = 45.51°, I = 33